SrMg14Sn: computed XRD peak list (Cu Kα (weighted mean of Kα1 and Kα2)), based on a PBE-relaxed structure.
Neutral-atom scattering factors, no anomalous dispersion.

Top 12 peaks for 5 to 70 degrees two-theta, by angle:
d [Å]  I (rel.)  index
10.576  61  1 0 0
5.719  18  0 0 2
5.030  28  1 0 2
3.883  16  2 0 2
2.822  28  0 2 2
2.644  38  4 0 0
2.515  50  2 0 4
2.490  100  2 2 2
1.930  18  4 2 2
1.644  17  0 2 6
1.495  21  6 2 2
1.396  20  4 2 6

Structure:
```
data_SrMg14Sn
_chemical_formula_sum 'Sr2 Mg28 Sn2'
_cell_length_a 10.576
_cell_length_b 6.490
_cell_length_c 11.437
_cell_angle_alpha 90.00
_cell_angle_beta 90.00
_cell_angle_gamma 90.00
_space_group_name_H-M_alt 'A m m 2'
_space_group_IT_number 38
loop_
_space_group_symop_operation_xyz
'x,y,z'
'-x,-y,z'
'-x,y,z'
'x,-y,z'
'x,y+1/2,z+1/2'
'-x,-y+1/2,z+1/2'
'-x,y+1/2,z+1/2'
'x,-y+1/2,z+1/2'
loop_
_atom_site_label
_atom_site_type_symbol
_atom_site_fract_x
_atom_site_fract_y
_atom_site_fract_z
Sr1 Sr 0.000 0.000 0.000
Mg1 Mg 0.000 0.245 0.250
Mg2 Mg 0.248 0.000 0.666
Mg3 Mg 0.261 0.000 0.169
Mg4 Mg 0.261 0.246 0.414
Mg5 Mg 0.500 0.000 0.500
Mg6 Mg 0.500 0.000 0.999
Mg7 Mg 0.500 0.248 0.748
Sn1 Sn 0.000 0.000 0.493
```

TbMgSn: computed XRD peak list (Cu Kα (weighted mean of Kα1 and Kα2)), based on a PBE-relaxed structure.
Neutral-atom scattering factors, no anomalous dispersion.

Top 12 peaks for 5 to 70 degrees two-theta, by angle:
d [Å]  I (rel.)  index
7.984  31  0 0 2
3.992  41  0 0 4
3.124  100  1 1 0
2.909  38  1 1 2
2.661  27  0 0 6
2.588  33  1 0 5
2.460  81  1 1 4
2.209  56  2 0 0
2.026  32  1 1 6
1.933  24  2 0 4
1.700  29  2 0 6
1.562  19  2 2 0

Structure:
```
data_TbMgSn
_chemical_formula_sum 'Tb4 Mg4 Sn4'
_cell_length_a 4.417
_cell_length_b 4.417
_cell_length_c 15.968
_cell_angle_alpha 90.00
_cell_angle_beta 90.00
_cell_angle_gamma 90.00
_space_group_name_H-M_alt 'I 4/m m m'
_space_group_IT_number 139
_space_group_name_Hall '-I 4 2'
loop_
_atom_site_label
_atom_site_type_symbol
_atom_site_fract_x
_atom_site_fract_y
_atom_site_fract_z
Tb1 Tb 0.000 0.000 0.167
Mg1 Mg 0.000 0.500 0.000
Sn1 Sn 0.000 0.000 0.364
```

Mg6TiSn: computed XRD peak list (Cu Kα (weighted mean of Kα1 and Kα2)), based on a PBE-relaxed structure.
Neutral-atom scattering factors, no anomalous dispersion.

Top 12 peaks for 5 to 70 degrees two-theta, by angle:
d [Å]  I (rel.)  index
5.585  37  0 0 2
5.350  21  0 1 1
5.114  30  1 0 0
3.771  29  1 0 2
3.697  23  1 1 1
2.675  33  0 2 2
2.557  40  2 0 0
2.451  57  1 0 4
2.370  100  1 2 2
1.848  22  2 2 2
1.437  20  3 2 2
1.349  21  2 2 6

Structure:
```
data_Mg6TiSn
_chemical_formula_sum 'Mg12 Ti2 Sn2'
_cell_length_a 5.114
_cell_length_b 6.094
_cell_length_c 11.169
_cell_angle_alpha 90.00
_cell_angle_beta 90.00
_cell_angle_gamma 90.00
_space_group_name_H-M_alt 'A m m 2'
_space_group_IT_number 38
loop_
_space_group_symop_operation_xyz
'x,y,z'
'-x,-y,z'
'-x,y,z'
'x,-y,z'
'x,y+1/2,z+1/2'
'-x,-y+1/2,z+1/2'
'-x,y+1/2,z+1/2'
'x,-y+1/2,z+1/2'
loop_
_atom_site_label
_atom_site_type_symbol
_atom_site_fract_x
_atom_site_fract_y
_atom_site_fract_z
Mg1 Mg 0.000 0.000 0.000
Mg2 Mg 0.000 0.000 0.493
Mg3 Mg 0.000 0.241 0.247
Mg4 Mg 0.500 0.249 0.582
Ti1 Ti 0.500 0.000 0.334
Sn1 Sn 0.500 0.000 0.832
```

Number 3 is which compound?
Mg6TiSn